Diffraction record for Ba3MgSi2O8. The powder X-ray diffraction pattern is simulated, not measured: it uses a DFT-relaxed cell (GGA-PBE, the Materials Project) and Cu Kα (λ = 1.5418 Å).
Intensities are scaled so that the largest is 100.

Largest 10 diffraction maxima, by angle, 2θ from 10° to 80°:
d (Å)  I (rel.)
4.095  74
2.951  87
2.843  100
2.458  24
2.336  41
2.048  49
1.859  31
1.805  18
1.662  32
1.642  18

Cell and atoms:
```
42
Lattice="9.850 0.000 0.000 -4.925 8.530 0.000 0.000 0.000 7.373" Properties=species:S:1:pos:R:3 pbc="T T T"
Ba 0.000 0.000 0.000
Ba -1.625 2.855 2.374
Ba -1.640 8.510 2.374
Ba 0.000 5.687 7.343
Ba 1.660 2.834 4.999
Ba 3.265 5.696 2.374
Ba 4.925 2.843 0.030
Ba 6.565 0.020 4.999
Ba 6.550 5.675 4.999
Mg 0.000 0.000 3.687
Mg 0.000 5.687 3.602
Mg 4.925 2.843 3.771
Si -1.577 2.875 5.596
Si -1.646 8.459 5.596
Si 1.701 2.804 1.778
Si 3.224 5.727 5.596
Si 6.571 0.071 1.778
Si 6.502 5.655 1.778
O 8.987 1.489 4.992
O -4.062 7.041 2.381
O -1.327 3.024 7.191
O -1.748 5.683 2.242
O -0.865 4.181 4.829
O 1.721 0.003 4.992
O 0.858 1.492 2.381
O -1.642 8.167 7.191
O -0.872 7.189 4.829
O 0.877 4.175 2.242
O 1.956 2.662 0.182
O 4.054 1.328 5.131
O 3.188 2.840 2.544
O 1.737 5.690 4.829
O 0.871 7.202 2.242
O 2.969 5.869 7.191
O 4.048 4.356 5.131
O 5.797 1.341 2.544
O 6.567 0.363 0.182
O 3.204 8.527 2.381
O 4.067 7.038 4.992
O 5.790 4.350 2.544
O 6.673 2.847 5.131
O 6.252 5.506 0.182
```

Diffraction record for BaMg6SiO8. The powder X-ray diffraction pattern is simulated, not measured: it uses a DFT-relaxed cell (GGA-PBE, the Materials Project) and Cu Kα (λ = 1.5418 Å).
Intensities are scaled so that the largest is 100.

Largest 10 diffraction maxima, by angle, 2θ from 10° to 80°:
d (Å)  I (rel.)
8.634  35
4.799  36
4.195  37
3.209  29
2.668  45
2.399  100
2.158  32
1.697  31
1.605  46
1.334  23

Cell and atoms:
```
16
Lattice="4.799 0.000 0.000 0.000 4.799 0.000 0.000 0.000 8.634" Properties=species:S:1:pos:R:3 pbc="T T T"
Ba 0.000 0.000 0.000
Mg 0.000 2.399 2.288
Mg 0.000 2.399 6.346
Mg 2.399 0.000 2.288
Mg 2.399 0.000 6.346
Mg 2.399 2.399 0.000
Mg 2.399 2.399 4.317
Si 0.000 0.000 4.317
O 0.000 0.000 2.496
O 0.000 0.000 6.138
O 0.000 2.399 0.000
O 0.000 2.399 4.317
O 2.399 0.000 0.000
O 2.399 0.000 4.317
O 2.399 2.399 2.172
O 2.399 2.399 6.462
```

Diffraction record for BaMg14SiO16. The powder X-ray diffraction pattern is simulated, not measured: it uses a DFT-relaxed cell (GGA-PBE, the Materials Project) and Cu Kα (λ = 1.5418 Å).
Intensities are scaled so that the largest is 100.

Largest 10 diffraction maxima, by angle, 2θ from 10° to 80°:
d (Å)  I (rel.)
8.776  35
6.205  16
3.925  16
2.968  18
2.561  35
2.269  56
2.194  100
1.577  61
1.551  29
1.281  27

Cell and atoms:
```
32
Lattice="8.776 0.000 0.000 0.000 8.776 0.000 0.000 0.000 4.537" Properties=species:S:1:pos:R:3 pbc="T T T"
Ba 0.000 0.000 0.000
Mg 0.000 2.317 2.269
Mg 0.000 4.388 0.000
Mg 0.000 6.459 2.269
Mg 2.188 4.388 2.269
Mg 2.256 2.256 0.000
Mg 2.256 6.520 0.000
Mg 2.317 0.000 2.269
Mg 4.388 0.000 0.000
Mg 4.388 2.188 2.269
Mg 4.388 6.587 2.269
Mg 6.459 0.000 2.269
Mg 6.520 2.256 0.000
Mg 6.520 6.520 0.000
Mg 6.587 4.388 2.269
Si 4.388 4.388 0.000
O 0.000 0.000 2.269
O 0.000 2.457 0.000
O 0.000 4.388 2.269
O 0.000 6.319 0.000
O 2.160 4.388 0.000
O 2.200 2.200 2.269
O 2.200 6.576 2.269
O 2.457 0.000 0.000
O 4.388 0.000 2.269
O 4.388 2.160 0.000
O 4.388 4.388 2.269
O 4.388 6.616 0.000
O 6.319 0.000 0.000
O 6.576 2.200 2.269
O 6.576 6.576 2.269
O 6.616 4.388 0.000
```

Diffraction record for BaMg6SiO8. The powder X-ray diffraction pattern is simulated, not measured: it uses a DFT-relaxed cell (GGA-PBE, the Materials Project) and Cu Kα (λ = 1.5418 Å).
Intensities are scaled so that the largest is 100.

Largest 10 diffraction maxima, by angle, 2θ from 10° to 80°:
d (Å)  I (rel.)
4.677  31
4.150  44
3.244  27
3.104  28
2.665  48
2.338  100
2.252  39
1.653  31
1.622  50
1.333  24

Cell and atoms:
```
16
Lattice="4.677 0.000 0.000 0.000 4.677 0.000 0.000 0.000 9.007" Properties=species:S:1:pos:R:3 pbc="T T T"
Ba 0.000 0.000 0.000
Mg 0.000 0.000 4.503
Mg 0.000 2.338 2.446
Mg 0.000 2.338 6.561
Mg 2.338 0.000 2.446
Mg 2.338 0.000 6.561
Mg 2.338 2.338 4.503
Si 2.338 2.338 0.000
O 0.000 0.000 2.550
O 0.000 0.000 6.457
O 0.000 2.338 0.000
O 0.000 2.338 4.503
O 2.338 0.000 0.000
O 2.338 0.000 4.503
O 2.338 2.338 2.403
O 2.338 2.338 6.604
```

Diffraction record for BaMg14SiO16. The powder X-ray diffraction pattern is simulated, not measured: it uses a DFT-relaxed cell (GGA-PBE, the Materials Project) and Cu Kα (λ = 1.5418 Å).
Intensities are scaled so that the largest is 100.

Largest 10 diffraction maxima, by angle, 2θ from 10° to 80°:
d (Å)  I (rel.)
6.201  28
2.962  32
2.564  61
2.281  100
2.225  86
2.161  80
1.593  56
1.569  53
1.550  51
1.282  45

Cell and atoms:
```
32
Lattice="4.561 0.000 0.000 0.000 8.644 0.000 0.000 0.000 8.900" Properties=species:S:1:pos:R:3 pbc="T T T"
Ba 0.000 0.000 0.000
Mg 0.000 0.000 4.450
Mg 0.000 2.227 2.362
Mg 0.000 2.227 6.538
Mg 0.000 4.322 4.450
Mg 0.000 6.417 2.362
Mg 0.000 6.417 6.538
Mg 2.281 0.000 2.367
Mg 2.281 0.000 6.533
Mg 2.281 2.181 4.450
Mg 2.281 2.274 0.000
Mg 2.281 4.322 2.271
Mg 2.281 4.322 6.629
Mg 2.281 6.370 0.000
Mg 2.281 6.463 4.450
Si 0.000 4.322 0.000
O 0.000 0.000 2.494
O 0.000 0.000 6.406
O 0.000 2.190 4.450
O 0.000 2.462 0.000
O 0.000 4.322 2.400
O 0.000 4.322 6.500
O 0.000 6.183 0.000
O 0.000 6.454 4.450
O 2.281 0.000 0.000
O 2.281 0.000 4.450
O 2.281 2.163 2.227
O 2.281 2.163 6.673
O 2.281 4.322 0.000
O 2.281 4.322 4.450
O 2.281 6.481 2.227
O 2.281 6.481 6.673
```

Diffraction record for BaMg2Si2O7. The powder X-ray diffraction pattern is simulated, not measured: it uses a DFT-relaxed cell (GGA-PBE, the Materials Project) and Cu Kα (λ = 1.5418 Å).
Intensities are scaled so that the largest is 100.

Largest 10 diffraction maxima, by angle, 2θ from 10° to 80°:
d (Å)  I (rel.)
6.419  29
3.477  25
3.268  100
3.250  30
3.191  52
3.058  56
2.900  18
2.532  23
2.291  39
1.964  19

Cell and atoms:
```
48
Lattice="3.676 -6.427 0.000 3.676 6.427 0.000 -0.056 0.000 13.909" Properties=species:S:1:pos:R:3 pbc="T T T"
Ba 1.475 0.211 1.678
Ba 1.447 -0.211 8.632
Ba 5.849 0.211 5.276
Ba 5.821 -0.211 12.231
Mg 3.371 3.407 6.832
Mg 3.634 3.481 10.431
Mg 3.662 3.457 3.477
Mg 3.952 3.407 0.122
Mg 3.343 -3.407 13.787
Mg 3.634 -3.457 10.431
Mg 3.662 -3.481 3.477
Mg 3.924 -3.407 7.076
Si 2.049 1.622 12.050
Si 2.347 1.350 5.269
Si 2.077 -1.622 5.095
Si 2.319 -1.350 12.224
Si 4.976 1.350 1.685
Si 5.218 1.622 8.813
Si 4.948 -1.350 8.639
Si 5.246 -1.622 1.859
O 0.807 1.488 13.104
O 1.237 1.493 4.099
O 1.570 1.811 10.490
O 1.803 1.791 6.752
O 3.077 2.876 12.316
O 0.835 -1.488 6.149
O 1.210 -1.493 11.054
O 3.647 2.314 1.867
O 3.676 2.314 5.087
O 4.190 2.876 8.547
O 1.598 -1.811 3.536
O 1.775 -1.791 13.706
O 2.946 0.205 12.221
O 2.974 -0.205 5.267
O 4.321 0.205 8.642
O 4.349 -0.205 1.687
O 5.520 1.791 0.202
O 5.697 1.811 10.373
O 3.105 -2.876 5.361
O 3.619 -2.314 8.821
O 3.648 -2.314 12.042
O 6.086 1.493 2.855
O 6.460 1.488 7.759
O 4.218 -2.876 1.593
O 5.492 -1.791 7.157
O 5.725 -1.811 3.419
O 6.058 -1.493 9.809
O 6.488 -1.488 0.805
```

Diffraction record for BaMgSn4O8. The powder X-ray diffraction pattern is simulated, not measured: it uses a DFT-relaxed cell (GGA-PBE, the Materials Project) and Cu Kα (λ = 1.5418 Å).
Intensities are scaled so that the largest is 100.

Largest 10 diffraction maxima, by angle, 2θ from 10° to 80°:
d (Å)  I (rel.)
4.153  24
2.994  100
2.883  52
2.312  13
2.077  25
1.830  25
1.729  28
1.706  26
1.497  14
1.384  14

Cell and atoms:
```
14
Lattice="5.988 0.000 0.000 -2.994 5.186 0.000 0.000 0.000 6.936" Properties=species:S:1:pos:R:3 pbc="T T T"
Ba 0.000 0.000 0.000
Mg 0.000 0.000 3.468
Sn 0.000 3.457 2.023
Sn 0.000 3.457 4.913
Sn 2.994 1.729 2.023
Sn 2.994 1.729 4.913
O -0.869 1.505 2.115
O -2.125 3.681 4.821
O 1.738 0.000 2.115
O 0.869 1.505 4.821
O 0.000 3.457 0.000
O 2.994 1.729 0.000
O 4.251 0.000 4.821
O 2.125 3.681 2.115
```

Diffraction record for Ba2Mg3Tl2Sn4O12. The powder X-ray diffraction pattern is simulated, not measured: it uses a DFT-relaxed cell (GGA-PBE, the Materials Project) and Cu Kα (λ = 1.5418 Å).
Intensities are scaled so that the largest is 100.

Largest 10 diffraction maxima, by angle, 2θ from 10° to 80°:
d (Å)  I (rel.)
4.114  29
3.227  100
2.955  78
2.920  90
2.480  20
2.064  58
1.820  25
1.739  36
1.693  31
1.306  20

Cell and atoms:
```
23
Lattice="-2.065 2.065 23.264 2.065 -2.065 23.264 2.065 2.065 -23.264" Properties=species:S:1:pos:R:3 pbc="T T T"
Ba 0.000 0.000 8.051
Ba 0.000 0.000 38.476
Mg 0.000 0.000 0.000
Mg 0.000 0.000 3.773
Mg 0.000 0.000 42.754
Tl 0.000 0.000 12.723
Tl 0.000 0.000 33.804
Sn 0.000 0.000 18.073
Sn 0.000 0.000 21.847
Sn 0.000 0.000 24.680
Sn 0.000 0.000 28.455
O 2.065 0.000 1.548
O 2.065 0.000 4.518
O 0.000 0.000 10.388
O 0.000 0.000 16.076
O 2.065 0.000 18.746
O 2.065 0.000 21.716
O 0.000 2.065 1.548
O 0.000 2.065 4.518
O 0.000 0.000 30.452
O 0.000 0.000 36.139
O 0.000 2.065 18.746
O 0.000 2.065 21.716
```

Diffraction record for Ba2Mg2Tl2Sn3O10. The powder X-ray diffraction pattern is simulated, not measured: it uses a DFT-relaxed cell (GGA-PBE, the Materials Project) and Cu Kα (λ = 1.5418 Å).
Intensities are scaled so that the largest is 100.

Largest 10 diffraction maxima, by angle, 2θ from 10° to 80°:
d (Å)  I (rel.)
3.340  30
3.299  33
3.282  32
3.033  56
2.991  100
2.954  59
2.861  78
2.795  76
2.025  31
1.975  34

Cell and atoms:
```
19
Lattice="3.951 0.000 0.000 0.095 4.050 0.000 1.783 1.758 20.291" Properties=species:S:1:pos:R:3 pbc="T T T"
Ba 0.000 0.000 0.000
Ba 1.849 1.823 7.371
Mg 1.779 1.758 15.737
Mg 1.874 2.110 11.706
Tl 1.933 1.859 2.490
Tl 3.932 3.886 4.688
Sn 3.804 3.791 17.320
Sn 3.846 4.138 13.882
Sn 3.711 3.835 9.999
O 1.830 3.771 16.561
O 1.810 1.296 13.710
O 1.701 3.987 10.695
O 1.938 1.483 4.830
O 3.802 3.824 19.318
O 3.756 1.769 16.615
O 3.268 1.813 10.019
O 3.771 3.026 12.209
O 3.869 3.808 7.976
O 3.690 3.781 2.306
```